The following is a computed X-ray diffraction stick pattern of LiVSi3O8. It was derived from a DFT-relaxed cell (PBE+U, the Materials Project), using Cu Ka.
Neutral-atom scattering factors, no anomalous dispersion.

Structural model:
Cell lengths 7.1535, 12.8014, 7.7134 Å; angles 90.00, 117.97, 90.00 degrees
Space group P2_1/c (No. 14)
Inequivalent atoms, fractional coordinates:
Li 0.1154 0.1789 0.4425 (multiplicity 4)
V 0.1014 0.0316 0.7384 (multiplicity 4)
Si 0.2277 0.0896 0.1235 (multiplicity 4)
Si 0.3258 0.6565 0.0427 (multiplicity 4)
Si 0.4182 0.6216 0.6808 (multiplicity 4)
O 0.0916 0.1469 0.9117 (multiplicity 4)
O 0.1098 0.0703 0.2542 (multiplicity 4)
O 0.1230 0.5940 0.0398 (multiplicity 4)
O 0.2955 0.5189 0.5412 (multiplicity 4)
O 0.2957 0.7166 0.5268 (multiplicity 4)
O 0.3267 0.1125 0.7176 (multiplicity 4)
O 0.3608 0.6184 0.8608 (multiplicity 4)
O 0.4576 0.1443 0.2518 (multiplicity 4)

Largest 10 diffraction maxima, in order of rising 2θ, 5 to 70 degrees two-theta:
d_spacing  two_theta  I (rel.)
6.401  13.84  1000
4.499  19.73  887
3.539  25.16  493
3.445  25.86  599
3.282  27.17  377
3.200  27.88  364
3.175  28.11  416
3.067  29.12  443
2.855  31.33  376
2.460  36.53  384

The following is a computed X-ray diffraction stick pattern of Li2VSi4O10. It was derived from a DFT-relaxed cell (PBE+U, the Materials Project), using Cu Ka.
Neutral-atom scattering factors, no anomalous dispersion.

Structural model:
Cell lengths 6.9828, 7.5754, 9.7317 Å; angles 99.39, 102.50, 116.85 degrees
Space group P-1 (No. 2)
Inequivalent atoms, fractional coordinates:
Li 0.1122 0.2455 0.4438 (multiplicity 2)
Li 0.2820 0.8183 0.9280 (multiplicity 2)
V 0.2591 0.1998 0.0743 (multiplicity 2)
Si 0.1110 0.8620 0.2429 (multiplicity 2)
Si 0.2525 0.5504 0.3128 (multiplicity 2)
Si 0.3110 0.1149 0.7394 (multiplicity 2)
Si 0.3953 0.7762 0.6420 (multiplicity 2)
O 0.0720 0.8843 0.0784 (multiplicity 2)
O 0.0744 0.1226 0.6818 (multiplicity 2)
O 0.0904 0.6371 0.2395 (multiplicity 2)
O 0.1464 0.3077 0.2424 (multiplicity 2)
O 0.2362 0.8881 0.6239 (multiplicity 2)
O 0.2774 0.5778 0.4909 (multiplicity 2)
O 0.3562 0.0497 0.3623 (multiplicity 2)
O 0.3934 0.1195 0.9076 (multiplicity 2)
O 0.4116 0.7115 0.7897 (multiplicity 2)
O 0.4931 0.3070 0.6964 (multiplicity 2)

Largest 10 diffraction maxima, in order of rising 2θ, 5 to 70 degrees two-theta:
d_spacing  two_theta  I (rel.)
6.448  13.73  684
5.900  15.02  356
5.245  16.90  299
4.964  17.87  421
4.532  19.59  664
3.802  23.40  1000
3.732  23.84  370
3.120  28.61  557
2.561  35.04  292
2.248  40.10  334

The following is a computed X-ray diffraction stick pattern of LiVSi3O8. It was derived from a DFT-relaxed cell (PBE+U, the Materials Project), using Cu Ka.
Neutral-atom scattering factors, no anomalous dispersion.

Structural model:
Cell lengths 7.1937, 7.4295, 7.7104 Å; angles 115.42, 110.20, 95.11 degrees
Space group P-1 (No. 2)
Inequivalent atoms, fractional coordinates:
Li 0.1803 0.3223 0.2527 (multiplicity 2)
V 0.1918 0.8502 0.1538 (multiplicity 2)
Si 0.2655 0.1865 0.8273 (multiplicity 2)
Si 0.2812 0.5709 0.7758 (multiplicity 2)
Si 0.3804 0.7868 0.5565 (multiplicity 2)
O 0.0953 0.1596 0.9139 (multiplicity 2)
O 0.1185 0.6839 0.8507 (multiplicity 2)
O 0.2209 0.3264 0.7090 (multiplicity 2)
O 0.2719 0.9641 0.6574 (multiplicity 2)
O 0.2904 0.5777 0.5669 (multiplicity 2)
O 0.3037 0.7093 0.3054 (multiplicity 2)
O 0.3685 0.1319 0.3072 (multiplicity 2)
O 0.4919 0.3010 0.0274 (multiplicity 2)

Largest 10 diffraction maxima, in order of rising 2θ, 5 to 70 degrees two-theta:
d_spacing  two_theta  I (rel.)
3.982  22.33  515
3.783  23.52  317
3.696  24.08  430
3.618  24.61  170
3.241  27.52  513
3.221  27.70  188
3.158  28.26  1000
3.082  28.98  183
2.982  29.97  233
2.559  35.07  158